Diffraction record for NdDy7Tl5. The PXRD pattern is computed, not measured: it uses a PBE-relaxed structure and copper Kα.
Neutral-atom scattering factors, no anomalous dispersion.

Atomic structure:
a b c (Å): 8.344 8.344 8.344
angles (deg): 133.97 99.20 98.38
Fractional positions:
Nd: 0.000 0.000 0.000
Dy: 0.170 0.475 0.695
Dy: 0.216 0.716 0.500
Dy: 0.332 0.991 0.341
Dy: 0.347 0.347 0.000
Dy: 0.650 0.991 0.659
Dy: 0.661 0.661 0.000
Dy: 0.779 0.475 0.305
Tl: 0.472 0.482 0.491
Tl: 0.472 0.981 0.990
Tl: 0.751 0.251 0.500
Tl: 0.991 0.482 0.010
Tl: 0.991 0.981 0.509

Main lines, sorted by position (2θ = 10–80°):
2theta, I (rel.)
28.28, 21
32.01, 84
32.76, 78
32.85, 41
33.13, 29
36.13, 100
36.92, 22
37.11, 32
51.86, 22
58.50, 23